For ZrFe6Ge6, a DFT-relaxed cell (PBE, the Materials Project) gives the simulated XRD peak list in this record (Cu Kα (weighted mean of Kα1 and Kα2)).
Lines closer than 0.1° are merged.

Structural model:
```
data_ZrFe6Ge6
_chemical_formula_sum 'Zr1 Fe6 Ge6'
_space_group_name_H-M_alt 'P 6/m m m'
_space_group_IT_number 191
_space_group_name_Hall '-P 6 2'
_cell_length_a 5.0619
_cell_length_b 5.0619
_cell_length_c 8.0756
_cell_angle_alpha 90.00
_cell_angle_beta 90.00
_cell_angle_gamma 120.00
loop_
_atom_site_label
_atom_site_type_symbol
_atom_site_fract_x
_atom_site_fract_y
_atom_site_fract_z
Zr1 Zr 0.0000 0.0000 0.0000
Fe1 Fe 0.0000 0.5000 0.2496
Ge1 Ge 0.0000 0.0000 0.3425
Ge2 Ge 0.3333 0.6667 0.0000
Ge3 Ge 0.3333 0.6667 0.5000
```

The 10 most intense peaks (2θ from 10° to 90°), low angle first:
2θ = 35.47°, I = 73, hkl 1 1 0; 2θ = 39.28°, I = 35, hkl 1 0 3; 2θ = 41.18°, I = 52, hkl 2 0 0; 2θ = 42.14°, I = 100, hkl 1 1 2; 2θ = 44.90°, I = 28, hkl 0 0 4; 2θ = 47.18°, I = 76, hkl 2 0 2; 2θ = 49.72°, I = 23, hkl 1 0 4; 2θ = 68.26°, I = 22, hkl 3 0 2; 2θ = 75.06°, I = 33, hkl 2 2 0; 2θ = 80.89°, I = 29, hkl 1 1 6